[1]
Computed powder diffractogram of PrB2Rh2C for Cu Kα (λ = 1.5418 Å), from a cell relaxed with PBE.
Peak positions follow from Bragg's law for the DFT cell and can differ from measured ones.

Principal peaks in the range 5° ≤ 2θ ≤ 70°, sorted by position:
- d 3.640, I 319, (1 0 1)
- d 2.571, I 474, (0 0 4)
- d 2.426, I 1000, (1 1 2)
- d 1.946, I 283, (2 0 0)
- d 1.552, I 316, (2 0 4)
- d 1.455, I 210, (1 1 6)

Crystal structure
Cell lengths 3.893, 3.893, 10.280 Å; angles 90.00, 90.00, 90.00 degrees
Space group I4/mmm (No. 139)
Asymmetric unit:
Pr 0.000 0.000 0.000 [2 per cell]
B 0.000 0.000 0.354 [4 per cell]
Rh 0.000 0.500 0.250 [4 per cell]
C 0.000 0.000 0.500 [2 per cell]


[2]
Computed powder diffractogram of NaTmCl4 for Cu Kα (λ = 1.5418 Å), from a cell relaxed with PBE.
Peak positions follow from Bragg's law for the DFT cell and can differ from measured ones.

Principal peaks in the range 5° ≤ 2θ ≤ 70°, sorted by position:
- d 6.556, I 1000, (1 0 0)
- d 5.061, I 818, (0 1 1)
- d 4.981, I 621, (1 1 0)
- d 4.098, I 708, (1 1 -1)
- d 3.920, I 610, (1 1 1)
- d 2.934, I 737, (1 2 1)

Crystal structure
Cell lengths 6.569, 7.661, 6.753 Å; angles 90.00, 93.49, 90.00 degrees
Space group P2/c (No. 13)
Asymmetric unit:
Na 0.000 0.169 0.250 [2 per cell]
Tm 0.500 0.340 0.750 [2 per cell]
Cl 0.243 0.124 0.602 [4 per cell]
Cl 0.286 0.397 0.064 [4 per cell]